Simulated X-ray powder pattern of Ag3PS6 for copper Kα, from the PBE geometry in Alexandria.
Intensities are scaled so that the largest is 100.

Atomic structure:
```
Ag3PS6
1.0
5.953 0.000 0.000
0.000 6.151 0.000
-4.998 0.000 10.686
Ag P S
6 2 12
Direct
0.000 0.000 0.000 Ag
0.000 0.500 0.500 Ag
0.192 0.127 0.688 Ag
0.192 0.373 0.188 Ag
0.808 0.627 0.812 Ag
0.808 0.873 0.312 Ag
0.500 0.000 0.500 P
0.500 0.500 0.000 P
0.179 0.030 0.303 S
0.179 0.470 0.803 S
0.287 0.682 0.085 S
0.287 0.818 0.585 S
0.424 0.191 0.079 S
0.424 0.309 0.579 S
0.576 0.691 0.421 S
0.576 0.809 0.921 S
0.713 0.182 0.415 S
0.713 0.318 0.915 S
0.821 0.530 0.197 S
0.821 0.970 0.697 S
```

Most intense lines, 5 to 70 degrees two-theta, in order of falling intensity:
29.0 deg, I 100; 27.6 deg, I 66; 30.2 deg, I 63; 46.9 deg, I 61; 25.9 deg, I 53; 17.7 deg, I 44; 21.9 deg, I 39; 38.6 deg, I 37; 22.9 deg, I 35; 28.1 deg, I 35

=====

Simulated X-ray powder pattern of TlRh5 for copper Kα, from the PBE geometry in Alexandria.
Intensities are scaled so that the largest is 100.

Atomic structure:
```
TlRh5
1.0
4.478 0.000 0.000
0.000 1.428 7.290
0.000 -1.428 7.290
Tl Rh
1 5
Direct
0.000 0.000 0.000 Tl
0.000 0.328 0.328 Rh
0.000 0.675 0.675 Rh
0.500 0.222 0.222 Rh
0.500 0.563 0.563 Rh
0.500 0.881 0.881 Rh
```

Most intense lines, 5 to 70 degrees two-theta, in order of falling intensity:
41.9 deg, I 100; 42.3 deg, I 46; 40.3 deg, I 37; 36.5 deg, I 25; 66.3 deg, I 15; 55.5 deg, I 15; 37.0 deg, I 13; 65.4 deg, I 9; 55.8 deg, I 8; 31.7 deg, I 6

=====

Simulated X-ray powder pattern of AgTe4Ru for copper Kα, from the PBE geometry in Alexandria.
Intensities are scaled so that the largest is 100.

Atomic structure:
```
AgTe4Ru
1.0
0.000 4.417 4.417
4.417 0.000 4.417
4.417 4.417 0.000
Ag Te Ru
1 4 1
Direct
0.000 0.000 0.000 Ag
0.375 0.375 0.375 Te
0.375 0.375 0.875 Te
0.375 0.875 0.375 Te
0.875 0.375 0.375 Te
0.750 0.750 0.750 Ru
```

Most intense lines, 5 to 70 degrees two-theta, in order of falling intensity:
33.7 deg, I 100; 35.2 deg, I 45; 53.9 deg, I 34; 59.2 deg, I 30; 28.6 deg, I 23; 69.8 deg, I 12; 17.4 deg, I 10; 50.6 deg, I 9; 40.9 deg, I 7; 67.0 deg, I 4

=====

Simulated X-ray powder pattern of K3Na3PbCl8 for copper Kα, from the PBE geometry in Alexandria.
Intensities are scaled so that the largest is 100.

Atomic structure:
```
K3Na3PbCl8
1.0
8.433 0.000 0.000
4.211 7.320 0.000
4.210 2.438 7.245
K Na Pb Cl
3 3 1 8
Direct
0.000 0.000 0.000 K
0.000 0.500 0.000 K
0.500 0.000 0.000 K
0.000 0.500 0.500 Na
0.500 0.000 0.500 Na
0.500 0.500 0.500 Na
0.000 0.000 0.500 Pb
0.239 0.240 0.280 Cl
0.239 0.742 0.280 Cl
0.259 0.761 0.721 Cl
0.260 0.259 0.723 Cl
0.740 0.741 0.277 Cl
0.741 0.239 0.279 Cl
0.761 0.258 0.720 Cl
0.761 0.760 0.720 Cl
```

Most intense lines, 5 to 70 degrees two-theta, in order of falling intensity:
29.4 deg, I 100; 12.8 deg, I 72; 41.4 deg, I 34; 42.8 deg, I 34; 24.4 deg, I 32; 12.2 deg, I 22; 14.6 deg, I 19; 23.8 deg, I 17; 32.6 deg, I 14; 68.2 deg, I 12

=====

Simulated X-ray powder pattern of TbDyTm2Th for copper Kα, from the PBE geometry in Alexandria.
Intensities are scaled so that the largest is 100.

Atomic structure:
```
TbDyTm2Th
1.0
8.201 0.000 0.000
0.000 6.048 0.000
-0.946 0.000 6.840
Tb Dy Tm Th
2 2 4 2
Direct
0.000 0.000 0.000 Tb
0.000 0.000 0.500 Tb
0.500 0.089 0.250 Dy
0.500 0.911 0.750 Dy
0.333 0.414 0.579 Tm
0.333 0.586 0.079 Tm
0.667 0.414 0.921 Tm
0.667 0.586 0.421 Tm
0.000 0.468 0.250 Th
0.000 0.532 0.750 Th
```

Most intense lines, 5 to 70 degrees two-theta, in order of falling intensity:
33.3 deg, I 100; 33.6 deg, I 42; 35.2 deg, I 38; 29.5 deg, I 37; 21.9 deg, I 31; 36.4 deg, I 29; 30.7 deg, I 28; 31.8 deg, I 28; 61.7 deg, I 28; 53.2 deg, I 27

=====

Simulated X-ray powder pattern of Tm8RuC3 for copper Kα, from the PBE geometry in Alexandria.
Intensities are scaled so that the largest is 100.

Atomic structure:
```
Tm8RuC3
1.0
7.175 0.000 0.000
-3.587 6.214 0.000
0.000 0.000 12.235
Tm Ru C
16 2 6
Direct
0.000 0.000 0.000 Tm
0.000 0.000 0.500 Tm
0.021 0.511 0.004 Tm
0.153 0.306 0.276 Tm
0.153 0.847 0.276 Tm
0.306 0.153 0.776 Tm
0.333 0.667 0.778 Tm
0.489 0.511 0.004 Tm
0.489 0.979 0.004 Tm
0.511 0.021 0.504 Tm
0.511 0.489 0.504 Tm
0.667 0.333 0.278 Tm
0.694 0.847 0.276 Tm
0.847 0.153 0.776 Tm
0.847 0.694 0.776 Tm
0.979 0.489 0.504 Tm
0.333 0.667 0.157 Ru
0.667 0.333 0.657 Ru
0.167 0.335 0.889 C
0.167 0.833 0.889 C
0.335 0.167 0.389 C
0.665 0.833 0.889 C
0.833 0.167 0.389 C
0.833 0.665 0.389 C
```

Most intense lines, 5 to 70 degrees two-theta, in order of falling intensity:
32.3 deg, I 100; 36.4 deg, I 30; 29.7 deg, I 29; 29.2 deg, I 29; 50.9 deg, I 28; 59.8 deg, I 21; 53.8 deg, I 19; 47.3 deg, I 16; 61.6 deg, I 15; 41.4 deg, I 11

=====

Simulated X-ray powder pattern of PaCuHg2O6 for copper Kα, from the PBE geometry in Alexandria.
Intensities are scaled so that the largest is 100.

Atomic structure:
```
PaCuHg2O6
1.0
5.928 -2.931 0.000
5.928 2.931 0.000
-1.800 0.000 4.491
Pa Cu Hg O
1 1 2 6
Direct
0.000 0.000 0.000 Pa
0.479 0.521 0.500 Cu
0.345 0.232 0.771 Hg
0.768 0.655 0.229 Hg
0.147 0.191 0.973 O
0.189 0.668 0.654 O
0.332 0.811 0.346 O
0.630 0.222 0.648 O
0.778 0.370 0.352 O
0.809 0.853 0.027 O
```

Most intense lines, 5 to 70 degrees two-theta, in order of falling intensity:
28.5 deg, I 100; 29.3 deg, I 65; 30.5 deg, I 34; 28.7 deg, I 31; 48.8 deg, I 22; 20.3 deg, I 20; 37.2 deg, I 19; 32.5 deg, I 18; 45.2 deg, I 14; 48.4 deg, I 13

=====

Simulated X-ray powder pattern of V6H5 for copper Kα, from the PBE geometry in Alexandria.
Intensities are scaled so that the largest is 100.

Atomic structure:
```
V6H5
1.0
2.528 -3.989 0.000
2.528 3.989 0.000
-2.235 0.000 4.502
V H
6 5
Direct
0.079 0.403 0.241 V
0.249 0.249 0.742 V
0.403 0.079 0.241 V
0.597 0.921 0.759 V
0.751 0.751 0.258 V
0.921 0.597 0.759 V
0.170 0.830 0.500 H
0.334 0.666 0.000 H
0.500 0.500 0.500 H
0.666 0.334 0.000 H
0.830 0.170 0.500 H
```

Most intense lines, 5 to 70 degrees two-theta, in order of falling intensity:
39.9 deg, I 100; 48.4 deg, I 39; 40.1 deg, I 33; 42.2 deg, I 31; 66.0 deg, I 14; 66.3 deg, I 13

=====

Simulated X-ray powder pattern of Ac4Pm6Si7 for copper Kα, from the PBE geometry in Alexandria.
Intensities are scaled so that the largest is 100.

Atomic structure:
```
Ac4Pm6Si7
1.0
-4.883 4.883 4.883
4.883 -4.883 4.883
4.883 4.883 -4.883
Ac Pm Si
4 6 7
Direct
0.000 0.000 0.500 Ac
0.000 0.500 0.000 Ac
0.500 0.000 0.000 Ac
0.500 0.500 0.500 Ac
0.000 0.308 0.308 Pm
0.000 0.692 0.692 Pm
0.308 0.000 0.308 Pm
0.308 0.308 0.000 Pm
0.692 0.000 0.692 Pm
0.692 0.692 0.000 Pm
0.000 0.000 0.000 Si
0.250 0.500 0.750 Si
0.250 0.750 0.500 Si
0.500 0.250 0.750 Si
0.500 0.750 0.250 Si
0.750 0.250 0.500 Si
0.750 0.500 0.250 Si
```

Most intense lines, 5 to 70 degrees two-theta, in order of falling intensity:
31.7 deg, I 100; 36.8 deg, I 52; 25.8 deg, I 44; 22.3 deg, I 29; 53.0 deg, I 26; 63.1 deg, I 25; 41.3 deg, I 25; 28.9 deg, I 24; 59.9 deg, I 21; 39.1 deg, I 21

=====

Simulated X-ray powder pattern of Cs4Pt for copper Kα, from the PBE geometry in Alexandria.
Intensities are scaled so that the largest is 100.

Atomic structure:
```
Cs4Pt
1.0
9.325 0.000 0.000
0.000 9.325 0.000
0.000 0.000 8.609
Cs Pt
8 2
Direct
0.151 0.263 0.000 Cs
0.151 0.737 0.500 Cs
0.263 0.151 0.500 Cs
0.263 0.849 0.000 Cs
0.737 0.151 0.000 Cs
0.737 0.849 0.500 Cs
0.849 0.263 0.500 Cs
0.849 0.737 0.000 Cs
0.000 0.000 0.250 Pt
0.000 0.000 0.750 Pt
```

Most intense lines, 5 to 70 degrees two-theta, in order of falling intensity:
9.5 deg, I 100; 28.2 deg, I 46; 23.7 deg, I 40; 29.8 deg, I 31; 32.1 deg, I 18; 34.7 deg, I 16; 53.6 deg, I 15; 51.1 deg, I 13; 13.4 deg, I 12; 35.6 deg, I 12

=====

Simulated X-ray powder pattern of PaZn2Pd2 for copper Kα, from the PBE geometry in Alexandria.
Intensities are scaled so that the largest is 100.

Atomic structure:
```
PaZn2Pd2
1.0
3.205 0.000 0.000
0.000 4.566 0.000
0.000 0.000 12.158
Pa Zn Pd
2 4 4
Direct
0.250 0.250 0.248 Pa
0.750 0.750 0.752 Pa
0.250 0.250 0.632 Zn
0.250 0.750 0.981 Zn
0.750 0.250 0.019 Zn
0.750 0.750 0.368 Zn
0.250 0.250 0.847 Pd
0.250 0.750 0.539 Pd
0.750 0.250 0.461 Pd
0.750 0.750 0.153 Pd
```

Most intense lines, 5 to 70 degrees two-theta, in order of falling intensity:
37.3 deg, I 100; 42.1 deg, I 54; 35.7 deg, I 46; 39.5 deg, I 39; 29.4 deg, I 29; 54.3 deg, I 28; 57.5 deg, I 18; 34.2 deg, I 17; 20.8 deg, I 15; 14.6 deg, I 13

=====

Simulated X-ray powder pattern of Pm2PF3 for copper Kα, from the PBE geometry in Alexandria.
Intensities are scaled so that the largest is 100.

Atomic structure:
```
Pm2PF3
1.0
7.472 -1.951 0.000
7.472 1.951 0.000
-3.708 0.000 6.995
Pm P F
4 2 6
Direct
0.018 0.018 0.228 Pm
0.286 0.286 0.286 Pm
0.714 0.714 0.714 Pm
0.982 0.982 0.772 Pm
0.370 0.370 0.948 P
0.630 0.630 0.052 P
0.111 0.111 0.684 F
0.190 0.190 0.458 F
0.441 0.441 0.586 F
0.559 0.559 0.414 F
0.810 0.810 0.542 F
0.889 0.889 0.316 F
```

Most intense lines, 5 to 70 degrees two-theta, in order of falling intensity:
25.5 deg, I 100; 27.1 deg, I 85; 30.6 deg, I 60; 23.8 deg, I 47; 32.6 deg, I 45; 44.5 deg, I 35; 46.3 deg, I 35; 46.6 deg, I 29; 38.1 deg, I 26; 28.5 deg, I 25

=====

Simulated X-ray powder pattern of Ho3Cu4Pd2 for copper Kα, from the PBE geometry in Alexandria.
Intensities are scaled so that the largest is 100.

Atomic structure:
```
Ho3Cu4Pd2
1.0
5.143 -2.150 0.000
5.143 2.150 0.000
-3.186 0.000 7.664
Ho Cu Pd
3 4 2
Direct
0.000 0.000 0.000 Ho
0.331 0.331 0.337 Ho
0.669 0.669 0.663 Ho
0.050 0.050 0.391 Cu
0.276 0.276 0.953 Cu
0.724 0.724 0.047 Cu
0.950 0.950 0.609 Cu
0.390 0.390 0.728 Pd
0.610 0.610 0.272 Pd
```

Most intense lines, 5 to 70 degrees two-theta, in order of falling intensity:
35.2 deg, I 100; 41.6 deg, I 73; 35.3 deg, I 67; 42.0 deg, I 36; 55.9 deg, I 34; 35.0 deg, I 33; 52.6 deg, I 19; 23.8 deg, I 18; 69.5 deg, I 16; 69.1 deg, I 16